No. 1
Simulated powder X-ray diffraction pattern of Sr2V2Zn for Cu Kα (weighted mean of Kα1 and Kα2), from a DFT-relaxed cell (PBE, Alexandria).

The 12 most intense peaks (2θ = 5–70°), in order of rising 2θ:
two_theta  I (rel.)
28.6  44
31.2  100
32.1  9
32.9  32
36.8  16
42.3  20
48.3  11
52.4  9
57.1  12
57.7  16
58.8  12
66.1  10

Cell and atoms:
```
Sr2V2Zn
1.0
8.817 0.000 0.000
0.000 8.817 0.000
0.000 0.000 3.767
Sr V Zn
4 4 2
Direct
0.207 0.293 0.000 Sr
0.293 0.793 0.000 Sr
0.707 0.207 0.000 Sr
0.793 0.707 0.000 Sr
0.073 0.573 0.500 V
0.427 0.073 0.500 V
0.573 0.927 0.500 V
0.927 0.427 0.500 V
0.000 0.000 0.500 Zn
0.500 0.500 0.500 Zn
```

***

No. 2
Simulated powder X-ray diffraction pattern of La2ScPd4 for Cu Kα (weighted mean of Kα1 and Kα2), from a DFT-relaxed cell (PBE, Alexandria).

The 12 most intense peaks (2θ = 5–70°), in order of rising 2θ:
two_theta  I (rel.)
23.2  23
26.0  40
29.3  12
31.6  24
33.1  45
34.8  17
35.2  31
37.7  100
47.5  20
52.5  38
60.5  12
62.2  19

Cell and atoms:
```
La2ScPd4
1.0
0.000 3.830 7.648
3.050 0.000 7.648
3.050 3.830 0.000
La Sc Pd
2 1 4
Direct
0.143 0.143 0.857 La
0.857 0.857 0.143 La
0.500 0.500 0.500 Sc
0.000 0.000 0.500 Pd
0.330 0.330 0.670 Pd
0.500 0.500 0.000 Pd
0.670 0.670 0.330 Pd
```

***

No. 3
Simulated powder X-ray diffraction pattern of Ac3Pd2Rh2 for Cu Kα (weighted mean of Kα1 and Kα2), from a DFT-relaxed cell (PBE, Alexandria).

The 12 most intense peaks (2θ = 5–70°), in order of rising 2θ:
two_theta  I (rel.)
23.9  26
28.5  21
30.2  100
31.9  44
34.6  30
38.8  24
39.0  31
40.9  23
43.0  23
51.2  24
59.2  14
59.4  18

Cell and atoms:
```
Ac3Pd2Rh2
1.0
-2.106 2.311 9.397
2.106 -2.311 9.397
2.106 2.311 -9.397
Ac Pd Rh
3 2 2
Direct
0.000 0.000 0.000 Ac
0.320 0.820 0.500 Ac
0.680 0.180 0.500 Ac
0.148 0.648 0.500 Pd
0.852 0.352 0.500 Pd
0.432 0.432 0.000 Rh
0.568 0.568 0.000 Rh
```